1.
The following is a theoretical powder XRD pattern of TiFePd4. It was derived from DFT lattice parameters and positions (GGA-PBE), using Cu Kα X-rays.
Kinematic intensities with the Lorentz-polarization factor, no thermal factor.

Largest 8 diffraction maxima, most intense first, 2θ = 10–80°:
2theta, Rel. int.
40.50, 1000
41.78, 909
59.60, 262
23.76, 163
75.40, 151
43.57, 98
67.61, 76
76.26, 70

Structure:
```
data_TiFePd4
_cell_length_a 7.4817
_cell_length_b 2.7711
_cell_length_c 17.3091
_cell_angle_alpha 90.00
_cell_angle_beta 90.00
_cell_angle_gamma 90.00
_symmetry_space_group_name_H-M 'P 1'
_symmetry_Int_Tables_number 1
_symmetry_space_group_name_Hall 'P 1'
loop_
_atom_site_label
_atom_site_fract_x
_atom_site_fract_y
_atom_site_fract_z
Ti1 0.2489 0.2500 0.0619
Ti2 0.2511 0.7500 0.5619
Ti3 0.7489 0.2500 0.4381
Ti4 0.7511 0.7500 0.9381
Fe1 0.2461 0.2500 0.8116
Fe2 0.2539 0.7500 0.3116
Fe3 0.7461 0.2500 0.6884
Fe4 0.7539 0.7500 0.1884
Pd1 0.0575 0.7500 0.4339
Pd2 0.0693 0.7500 0.6981
Pd3 0.1010 0.7500 0.1765
Pd4 0.1037 0.7500 0.9390
Pd5 0.3963 0.2500 0.4390
Pd6 0.3990 0.2500 0.6765
Pd7 0.4307 0.2500 0.1981
Pd8 0.4425 0.2500 0.9339
Pd9 0.5575 0.7500 0.0661
Pd10 0.5693 0.7500 0.8019
Pd11 0.6010 0.7500 0.3235
Pd12 0.6037 0.7500 0.5610
Pd13 0.8963 0.2500 0.0610
Pd14 0.8990 0.2500 0.8235
Pd15 0.9307 0.2500 0.3019
Pd16 0.9425 0.2500 0.5661
```

---

2.
The following is a theoretical powder XRD pattern of Ti2FePd8. It was derived from DFT lattice parameters and positions (GGA-PBE), using Cu Kα X-rays.
Kinematic intensities with the Lorentz-polarization factor, no thermal factor.

Largest 8 diffraction maxima, most intense first, 2θ = 10–80°:
2theta, Rel. int.
39.74, 1000
45.61, 175
45.29, 166
47.73, 138
66.23, 103
68.15, 92
79.93, 55
79.81, 50

Structure:
```
data_Ti2FePd8
_cell_length_a 7.2646
_cell_length_b 7.2646
_cell_length_c 6.2975
_cell_angle_alpha 106.80
_cell_angle_beta 106.80
_cell_angle_gamma 31.78
_symmetry_space_group_name_H-M 'P 1'
_symmetry_Int_Tables_number 1
_symmetry_space_group_name_Hall 'P 1'
loop_
_atom_site_label
_atom_site_fract_x
_atom_site_fract_y
_atom_site_fract_z
Ti1 0.2177 0.2177 0.1606
Ti2 0.7823 0.7823 0.8394
Fe1 0.5000 0.5000 0.5000
Pd1 0.0411 0.0411 0.2348
Pd2 0.1474 0.1474 0.7017
Pd3 0.3230 0.3230 0.5850
Pd4 0.3997 0.3997 0.0465
Pd5 0.6003 0.6003 0.9535
Pd6 0.6770 0.6770 0.4150
Pd7 0.8526 0.8526 0.2983
Pd8 0.9589 0.9589 0.7652
```

---

3.
The following is a theoretical powder XRD pattern of TlFePd5. It was derived from DFT lattice parameters and positions (GGA-PBE), using Cu Kα X-rays.
Kinematic intensities with the Lorentz-polarization factor, no thermal factor.

Largest 8 diffraction maxima, most intense first, 2θ = 10–80°:
2theta, Rel. int.
46.87, 1000
20.55, 967
19.77, 632
20.25, 609
36.57, 545
44.50, 484
41.18, 460
37.76, 441

Structure:
```
data_TlFePd5
_cell_length_a 6.3878
_cell_length_b 6.3878
_cell_length_c 6.3878
_cell_angle_alpha 131.67
_cell_angle_beta 93.31
_cell_angle_gamma 106.11
_symmetry_space_group_name_H-M 'P 1'
_symmetry_Int_Tables_number 1
_symmetry_space_group_name_Hall 'P 1'
loop_
_atom_site_label
_atom_site_fract_x
_atom_site_fract_y
_atom_site_fract_z
Tl1 0.0000 0.0000 0.0000
Fe1 0.5922 0.0922 0.5000
Pd1 0.0409 0.7946 0.2463
Pd2 0.3160 0.0707 0.7546
Pd3 0.3160 0.5614 0.2454
Pd4 0.5483 0.7946 0.7537
Pd5 0.6178 0.6178 0.0000
```